Record 1
For NaErCdTe3, a structure optimized by DFT (PBE) gives the theoretical XRD peak list in this record (CuKα).
Peak positions follow from Bragg's law for the DFT cell and can differ from measured ones.

Crystal structure
a = 19.5920 Å, b = 4.3432 Å, c = 9.3311 Å
α = 90.00°, β = 103.83°, γ = 90.00°
Space group C2/m (No. 12)
Symmetry-distinct sites (fractional):
Na (0.1283, 0.0000, 0.0767) x4
Er (0.1787, 0.0000, 0.5917) x4
Cd (0.0326, 0.5000, 0.7236) x4
Te (0.0000, 0.0000, 0.5000) x2
Te (0.0000, 0.5000, 0.0000) x2
Te (0.1646, 0.5000, 0.3590) x4
Te (0.1814, 0.5000, 0.8242) x4

Most intense lines, 2θ = 10–80°, in order of rising 2θ:
2θ 15.0, I 23.0, hkl 2 0 1
2θ 27.5, I 27.3, hkl 6 0 -1
2θ 28.1, I 100.0, hkl 1 1 -2
2θ 28.1, I 51.7, hkl 6 0 0
2θ 34.5, I 35.6, hkl 5 1 1
2θ 35.6, I 28.4, hkl 1 1 -3
2θ 38.6, I 25.1, hkl 2 0 -4
2θ 40.2, I 45.4, hkl 5 1 2
2θ 41.6, I 30.9, hkl 0 2 0
2θ 44.4, I 31.8, hkl 7 1 -3



Record 2
For AsPOsO, a structure optimized by DFT (PBE) gives the theoretical XRD peak list in this record (CuKα).
Peak positions follow from Bragg's law for the DFT cell and can differ from measured ones.

Crystal structure
a = 4.0388 Å, b = 5.7994 Å, c = 5.1607 Å
α = 90.00°, β = 90.00°, γ = 90.00°
Space group Pmc2_1 (No. 26)
Symmetry-distinct sites (fractional):
As (0.0000, 0.1806, 0.0000) x2
P (0.0000, 0.2488, 0.4673) x2
Os (0.5000, 0.4294, 0.5665) x2
O (0.5000, 0.2369, 0.9081) x2

Most intense lines, 2θ = 10–80°, in order of rising 2θ:
2θ 15.3, I 82.8, hkl 0 1 0
2θ 26.9, I 100.0, hkl 1 1 0
2θ 32.1, I 38.4, hkl 1 1 1
2θ 34.8, I 44.2, hkl 0 0 2
2θ 35.5, I 49.5, hkl 0 2 1
2θ 38.2, I 55.2, hkl 1 2 0
2θ 44.5, I 48.2, hkl 1 1 2
2θ 44.9, I 30.2, hkl 2 0 0
2θ 52.6, I 24.1, hkl 1 2 2
2θ 55.6, I 27.7, hkl 1 3 1



Record 3
For La21Fe8Sn7C12, a structure optimized by DFT (PBE) gives the theoretical XRD peak list in this record (CuKα).
Peak positions follow from Bragg's law for the DFT cell and can differ from measured ones.

Crystal structure
a = 16.4668 Å, b = 16.4668 Å, c = 16.4668 Å
α = 90.00°, β = 90.00°, γ = 90.00°
Space group Fm-3m (No. 225)
Symmetry-distinct sites (fractional):
La (0.0000, 0.0000, 0.0000) x4
La (0.0000, 0.1696, 0.3304) x48
La (0.1352, 0.1352, 0.1352) x32
Fe (0.1964, 0.1964, 0.3036) x32
Sn (0.0000, 0.0000, 0.2104) x24
Sn (0.0000, 0.0000, 0.5000) x4
C (0.1099, 0.2500, 0.2500) x48

Most intense lines, 2θ = 10–80°, in order of rising 2θ:
2θ 28.2, I 100.0, hkl 3 3 3
2θ 30.7, I 37.2, hkl 4 4 0
2θ 32.2, I 62.9, hkl 5 3 1
2θ 32.6, I 78.2, hkl 6 0 0
2θ 42.2, I 27.2, hkl 5 5 3
2θ 46.8, I 34.3, hkl 6 6 0
2θ 54.6, I 20.5, hkl 8 4 4
2θ 55.5, I 19.8, hkl 9 3 3
2θ 64.8, I 15.6, hkl 9 5 5
2θ 75.5, I 16.8, hkl 9 9 3



Record 4
For Li2Mg2In2CoIr, a structure optimized by DFT (PBE) gives the theoretical XRD peak list in this record (CuKα).
Peak positions follow from Bragg's law for the DFT cell and can differ from measured ones.

Crystal structure
a = 4.5013 Å, b = 4.5013 Å, c = 6.3591 Å
α = 90.00°, β = 90.00°, γ = 90.00°
Space group P-4m2 (No. 115)
Symmetry-distinct sites (fractional):
Li (0.0000, 0.0000, 0.0000) x1
Li (0.5000, 0.5000, 0.5000) x1
Mg (0.0000, 0.5000, 0.2503) x2
In (0.0000, 0.5000, 0.7388) x2
Co (0.0000, 0.0000, 0.5000) x1
Ir (0.5000, 0.5000, 0.0000) x1

Most intense lines, 2θ = 10–80°, in order of rising 2θ:
2θ 13.9, I 8.5, hkl 0 0 1
2θ 19.7, I 10.5, hkl 1 0 0
2θ 24.2, I 76.5, hkl 1 0 1
2θ 31.4, I 8.8, hkl 1 1 1
2θ 40.1, I 100.0, hkl 2 0 0
2θ 47.4, I 37.5, hkl 2 1 1
2θ 58.0, I 16.5, hkl 2 2 0
2θ 63.7, I 15.1, hkl 3 0 1
2θ 72.8, I 32.7, hkl 3 1 2
2θ 78.0, I 11.2, hkl 3 2 1